Simulated XRD peak list of SrAg4ClO2 for CuKα, from a cell relaxed with GGA-PBE.
Intensities are scaled so that the largest is 100.

The 8 most intense peaks (2θ from 5° to 70°), sorted by position:
2θ/deg	I/Imax
17.25	50
26.00	18
32.95	21
34.91	17
37.43	100
47.29	32
56.08	18
60.11	13

Crystal structure
a b c (Å): 3.844 3.844 10.281
angles (deg): 90.00 90.00 90.00
Space group P4/mmm (No. 123)
Symmetry-distinct sites (fractional):
Sr1 0.000 0.000 0.000 x1
Ag1 0.000 0.500 0.282 x4
Cl1 0.000 0.000 0.500 x1
O1 0.500 0.500 0.127 x2